Diffraction record for RuC4O4F6. The powder X-ray diffraction pattern is simulated, not measured: it uses DFT lattice parameters and positions (GGA-PBE) and Cu Kα (weighted mean of Kα1 and Kα2).
Peak positions follow from Bragg's law for the DFT cell and can differ from measured ones.

Largest 8 diffraction maxima, in order of falling intensity, 5 to 70 degrees two-theta:
9.144 Å, 9.67 deg, intensity 1000; 8.822 Å, 10.03 deg, intensity 736; 4.192 Å, 21.19 deg, intensity 618; 6.807 Å, 13.01 deg, intensity 606; 3.893 Å, 22.85 deg, intensity 310; 3.860 Å, 23.04 deg, intensity 277; 2.383 Å, 37.74 deg, intensity 242; 4.415 Å, 20.11 deg, intensity 229

Crystal structure
```
RuC4O4F6
1.0
5.350 0.000 0.000
0.394 8.897 0.000
0.938 1.199 9.144
Ru C O F
2 8 8 12
Direct
0.179 0.465 0.057
0.821 0.535 0.943
0.042 0.249 0.876
0.072 0.106 0.796
0.273 0.638 0.767
0.431 0.713 0.629
0.569 0.287 0.371
0.727 0.362 0.233
0.928 0.894 0.204
0.958 0.751 0.124
0.038 0.641 0.765
0.146 0.664 0.152
0.210 0.268 0.959
0.395 0.576 0.873
0.605 0.424 0.127
0.790 0.732 0.041
0.854 0.336 0.848
0.962 0.359 0.235
0.153 0.948 0.222
0.200 0.141 0.662
0.205 0.993 0.872
0.285 0.765 0.522
0.398 0.390 0.421
0.442 0.170 0.337
0.558 0.830 0.663
0.602 0.610 0.579
0.715 0.235 0.478
0.795 0.007 0.128
0.800 0.859 0.338
0.847 0.052 0.778
```

=====

Diffraction record for Sb2RuC6O6F12. The powder X-ray diffraction pattern is simulated, not measured: it uses DFT lattice parameters and positions (GGA-PBE) and Cu Kα (weighted mean of Kα1 and Kα2).
Peak positions follow from Bragg's law for the DFT cell and can differ from measured ones.

Largest 8 diffraction maxima, in order of falling intensity, 5 to 70 degrees two-theta:
4.325 Å, 20.54 deg, intensity 1000; 6.992 Å, 12.66 deg, intensity 535; 4.200 Å, 21.15 deg, intensity 401; 2.970 Å, 30.09 deg, intensity 347; 5.940 Å, 14.92 deg, intensity 330; 3.496 Å, 25.48 deg, intensity 256; 2.448 Å, 36.71 deg, intensity 246; 2.162 Å, 41.77 deg, intensity 226

Crystal structure
```
Sb2RuC6O6F12
1.0
8.400 0.000 0.000
0.000 8.400 0.000
0.000 0.000 12.618
Sb Ru C O F
4 2 12 12 24
Direct
0.000 0.500 0.250
0.000 0.500 0.750
0.500 0.000 0.250
0.500 0.000 0.750
0.000 0.000 0.000
0.500 0.500 0.500
0.000 0.000 0.159
0.000 0.000 0.841
0.129 0.202 0.000
0.202 0.871 0.000
0.298 0.371 0.500
0.371 0.702 0.500
0.500 0.500 0.341
0.500 0.500 0.659
0.629 0.298 0.500
0.702 0.629 0.500
0.798 0.129 0.000
0.871 0.798 0.000
0.000 0.000 0.249
0.000 0.000 0.751
0.183 0.299 0.500
0.201 0.317 0.000
0.299 0.817 0.500
0.317 0.799 0.000
0.500 0.500 0.251
0.500 0.500 0.749
0.683 0.201 0.000
0.701 0.183 0.500
0.799 0.683 0.000
0.817 0.701 0.500
0.108 0.619 0.141
0.108 0.619 0.859
0.119 0.608 0.359
0.119 0.608 0.641
0.161 0.339 0.250
0.161 0.339 0.750
0.339 0.839 0.250
0.339 0.839 0.750
0.381 0.108 0.141
0.381 0.108 0.859
0.392 0.119 0.359
0.392 0.119 0.641
0.608 0.881 0.359
0.608 0.881 0.641
0.619 0.892 0.141
0.619 0.892 0.859
0.661 0.161 0.250
0.661 0.161 0.750
0.839 0.661 0.250
0.839 0.661 0.750
0.881 0.392 0.359
0.881 0.392 0.641
0.892 0.381 0.141
0.892 0.381 0.859
```

=====

Diffraction record for ZnC2S2O6F6. The powder X-ray diffraction pattern is simulated, not measured: it uses DFT lattice parameters and positions (GGA-PBE) and Cu Kα (weighted mean of Kα1 and Kα2).
Peak positions follow from Bragg's law for the DFT cell and can differ from measured ones.

Largest 8 diffraction maxima, in order of falling intensity, 5 to 70 degrees two-theta:
3.845 Å, 23.13 deg, intensity 1000; 10.582 Å, 8.36 deg, intensity 853; 2.288 Å, 39.37 deg, intensity 301; 2.574 Å, 34.86 deg, intensity 214; 4.354 Å, 20.40 deg, intensity 185; 3.157 Å, 28.27 deg, intensity 175; 2.468 Å, 36.40 deg, intensity 161; 2.015 Å, 44.98 deg, intensity 160

Crystal structure
```
ZnC2S2O6F6
1.0
2.538 1.465 10.582
-2.538 1.465 10.582
0.000 -2.931 10.582
Zn C S O F
1 2 2 6 6
Direct
0.000 0.000 0.000
0.224 0.224 0.224
0.776 0.776 0.776
0.283 0.283 0.283
0.717 0.717 0.717
0.039 0.594 0.248
0.248 0.039 0.594
0.406 0.752 0.961
0.594 0.248 0.039
0.752 0.961 0.406
0.961 0.406 0.752
0.054 0.761 0.556
0.239 0.444 0.946
0.444 0.946 0.239
0.556 0.054 0.761
0.761 0.556 0.054
0.946 0.239 0.444
```

=====

Diffraction record for OsC2F. The powder X-ray diffraction pattern is simulated, not measured: it uses DFT lattice parameters and positions (GGA-PBE) and Cu Kα (weighted mean of Kα1 and Kα2).
Peak positions follow from Bragg's law for the DFT cell and can differ from measured ones.

Largest 8 diffraction maxima, in order of falling intensity, 5 to 70 degrees two-theta:
4.324 Å, 20.54 deg, intensity 1000; 2.768 Å, 32.34 deg, intensity 934; 2.448 Å, 36.71 deg, intensity 278; 2.130 Å, 42.43 deg, intensity 272; 1.468 Å, 63.38 deg, intensity 263; 1.678 Å, 54.71 deg, intensity 234; 2.602 Å, 34.47 deg, intensity 233; 1.783 Å, 51.24 deg, intensity 185

Crystal structure
```
OsC2F
1.0
-2.448 2.448 4.608
2.448 -2.448 4.608
2.448 2.448 -4.608
Os C F
2 4 2
Direct
0.000 0.000 0.000
0.750 0.250 0.500
0.049 0.625 0.924
0.375 0.299 0.424
0.701 0.125 0.076
0.875 0.951 0.576
0.250 0.750 0.500
0.500 0.500 0.000
```

=====

Diffraction record for Pb2C2F. The powder X-ray diffraction pattern is simulated, not measured: it uses DFT lattice parameters and positions (GGA-PBE) and Cu Kα (weighted mean of Kα1 and Kα2).
Peak positions follow from Bragg's law for the DFT cell and can differ from measured ones.

Largest 8 diffraction maxima, in order of falling intensity, 5 to 70 degrees two-theta:
2.543 Å, 35.30 deg, intensity 1000; 3.390 Å, 26.29 deg, intensity 723; 3.845 Å, 23.13 deg, intensity 523; 2.397 Å, 37.52 deg, intensity 444; 2.034 Å, 44.54 deg, intensity 401; 1.410 Å, 66.27 deg, intensity 323; 1.672 Å, 54.90 deg, intensity 242; 1.500 Å, 61.86 deg, intensity 183

Crystal structure
```
Pb2C2F
1.0
-2.397 2.397 3.845
2.397 -2.397 3.845
2.397 2.397 -3.845
Pb C F
2 2 1
Direct
0.250 0.750 0.500
0.750 0.250 0.500
0.085 0.085 0.000
0.915 0.915 0.000
0.500 0.500 0.000
```

=====

Diffraction record for Pm2CF2. The powder X-ray diffraction pattern is simulated, not measured: it uses DFT lattice parameters and positions (GGA-PBE) and Cu Kα (weighted mean of Kα1 and Kα2).
Peak positions follow from Bragg's law for the DFT cell and can differ from measured ones.

Largest 8 diffraction maxima, in order of falling intensity, 5 to 70 degrees two-theta:
3.165 Å, 28.20 deg, intensity 1000; 2.630 Å, 34.09 deg, intensity 423; 1.981 Å, 45.80 deg, intensity 335; 3.013 Å, 29.65 deg, intensity 248; 1.603 Å, 57.47 deg, intensity 234; 1.859 Å, 48.99 deg, intensity 176; 1.767 Å, 51.73 deg, intensity 164; 1.582 Å, 58.31 deg, intensity 116

Crystal structure
```
Pm2CF2
1.0
10.515 0.000 0.000
0.000 6.025 0.000
-0.003 0.000 5.262
Pm C F
8 4 8
Direct
0.108 0.038 0.250
0.108 0.462 0.750
0.354 0.518 0.249
0.354 0.982 0.749
0.646 0.018 0.251
0.646 0.482 0.751
0.892 0.538 0.250
0.892 0.962 0.750
0.135 0.046 0.750
0.135 0.454 0.250
0.865 0.546 0.750
0.865 0.954 0.250
0.328 0.593 0.752
0.328 0.907 0.252
0.462 0.249 0.000
0.462 0.251 0.500
0.538 0.749 0.500
0.538 0.751 0.000
0.672 0.093 0.748
0.672 0.407 0.248
```

=====

Diffraction record for PmYCF. The powder X-ray diffraction pattern is simulated, not measured: it uses DFT lattice parameters and positions (GGA-PBE) and Cu Kα (weighted mean of Kα1 and Kα2).
Peak positions follow from Bragg's law for the DFT cell and can differ from measured ones.

Largest 8 diffraction maxima, in order of falling intensity, 5 to 70 degrees two-theta:
2.981 Å, 29.97 deg, intensity 1000; 2.108 Å, 42.89 deg, intensity 622; 3.653 Å, 24.37 deg, intensity 515; 1.633 Å, 56.35 deg, intensity 348; 2.580 Å, 34.78 deg, intensity 245; 1.556 Å, 59.40 deg, intensity 150; 1.721 Å, 53.24 deg, intensity 144; 5.159 Å, 17.19 deg, intensity 76

Crystal structure
```
PmYCF
1.0
5.159 0.000 0.000
0.000 2.106 3.658
0.000 -2.106 3.658
Pm Y C F
1 1 1 1
Direct
0.000 0.000 0.000
0.500 0.668 0.668
0.500 0.001 0.001
0.000 0.667 0.667
```

=====

Diffraction record for PrThCF. The powder X-ray diffraction pattern is simulated, not measured: it uses DFT lattice parameters and positions (GGA-PBE) and Cu Kα (weighted mean of Kα1 and Kα2).
Peak positions follow from Bragg's law for the DFT cell and can differ from measured ones.

Largest 8 diffraction maxima, in order of falling intensity, 5 to 70 degrees two-theta:
3.156 Å, 28.28 deg, intensity 1000; 2.483 Å, 36.17 deg, intensity 980; 2.682 Å, 33.41 deg, intensity 607; 1.846 Å, 49.38 deg, intensity 430; 3.286 Å, 27.14 deg, intensity 415; 1.609 Å, 57.25 deg, intensity 337; 3.041 Å, 29.37 deg, intensity 302; 6.572 Å, 13.47 deg, intensity 274

Crystal structure
```
PrThCF
1.0
1.846 1.066 6.572
-1.846 1.066 6.572
0.000 -2.131 6.572
Pr Th C F
1 1 1 1
Direct
0.000 0.000 0.000
0.191 0.191 0.191
0.589 0.589 0.589
0.762 0.762 0.762
```